# 1
Computed powder diffractogram
Compound: Cs6ZrSe4
Radiation: a wavelength of 1.5418 Å
Structure: a structure optimized by DFT (PBE)

The 8 most intense peaks (15 to 90 degrees two-theta), low angle first:
| Position (°2θ) | intensity |
| --- | --- |
| 21.86 | 294 |
| 25.41 | 1000 |
| 26.73 | 722 |
| 28.37 | 580 |
| 30.69 | 395 |
| 44.11 | 251 |
| 46.12 | 263 |
| 50.00 | 235 |

Atomic structure:
```
Cs6ZrSe4
1.0
11.6516 0.0000 0.0000
-5.8258 10.0906 0.0000
0.0000 0.0000 8.8867
Cs Zr Se
12 2 8
Direct
0.0679 0.5339 0.0000
0.1334 0.2668 0.3201
0.1334 0.8666 0.3201
0.2668 0.1334 0.8201
0.4661 0.5339 0.0000
0.4661 0.9321 0.0000
0.5339 0.0679 0.5000
0.5339 0.4661 0.5000
0.7332 0.8666 0.3201
0.8666 0.1334 0.8201
0.8666 0.7332 0.8201
0.9321 0.4661 0.5000
0.3333 0.6667 0.5988
0.6667 0.3333 0.0988
0.2130 0.4259 0.6970
0.2130 0.7870 0.6970
0.3333 0.6667 0.3067
0.4259 0.2130 0.1970
0.5741 0.7870 0.6970
0.6667 0.3333 0.8067
0.7870 0.2130 0.1970
0.7870 0.5741 0.1970
```



# 2
Computed powder diffractogram
Compound: CaHgH
Radiation: a wavelength of 1.5418 Å
Structure: a structure optimized by DFT (PBE)

The 8 most intense peaks (15 to 90 degrees two-theta), low angle first:
| Position (°2θ) | intensity |
| --- | --- |
| 17.51 | 432 |
| 18.62 | 517 |
| 24.90 | 341 |
| 31.17 | 533 |
| 32.25 | 1000 |
| 32.99 | 440 |
| 33.52 | 871 |
| 44.05 | 323 |

Atomic structure:
```
CaHgH
1.0
12.3423 0.0000 0.0000
0.0000 3.7636 0.0000
-2.0042 0.0000 5.0659
Ca Hg H
4 4 4
Direct
0.1156 0.0000 0.3263
0.3844 0.5000 0.6737
0.6156 0.5000 0.3263
0.8844 0.0000 0.6737
0.1336 0.5000 0.8633
0.3664 0.0000 0.1367
0.6336 0.0000 0.8633
0.8664 0.5000 0.1367
0.1892 0.5000 0.5402
0.3108 0.0000 0.4598
0.6892 0.0000 0.5402
0.8108 0.5000 0.4598
```



# 3
Computed powder diffractogram
Compound: La2TbPm6Y
Radiation: a wavelength of 1.5418 Å
Structure: a structure optimized by DFT (PBE)

The 8 most intense peaks (15 to 90 degrees two-theta), low angle first:
| Position (°2θ) | intensity |
| --- | --- |
| 28.11 | 588 |
| 29.44 | 584 |
| 30.13 | 860 |
| 30.81 | 735 |
| 30.95 | 496 |
| 31.35 | 1000 |
| 32.33 | 733 |
| 56.45 | 262 |

Atomic structure:
```
La2TbPm6Y
1.0
4.5724 -7.6636 0.0000
4.5724 7.6636 0.0000
-1.7726 0.0000 9.9142
La Tb Pm Y
4 2 12 2
Direct
0.1935 0.2929 0.0402
0.2929 0.1935 0.5402
0.7071 0.8065 0.4598
0.8065 0.7071 0.9598
0.0136 0.9864 0.2500
0.9864 0.0136 0.7500
0.0217 0.5813 0.1875
0.1227 0.7433 0.5557
0.2567 0.8773 0.9443
0.2934 0.4994 0.3783
0.4187 0.9783 0.3125
0.4994 0.2934 0.8783
0.5006 0.7066 0.1217
0.5813 0.0217 0.6875
0.7066 0.5006 0.6217
0.7433 0.1227 0.0557
0.8773 0.2567 0.4443
0.9783 0.4187 0.8125
0.4047 0.5953 0.7500
0.5953 0.4047 0.2500
```